1.
Simulated powder diffractogram of Ho3PuSb4 for Cu Kα, from a crystal structure in Alexandria, relaxed with PBE.
Lines closer than 0.1° are merged.

Cell and atoms:
Cell: 6.1972 6.1972 6.1972 Å, 90.00 90.00 90.00°
Space group Pm-3m (No. 221)
Asymmetric unit:
Ho: 0.0000 0.0000 0.5000 [3 per cell]
Pu: 0.5000 0.5000 0.5000 [1 per cell]
Sb: 0.0000 0.0000 0.0000 [1 per cell]
Sb: 0.0000 0.5000 0.5000 [3 per cell]

Principal peaks in the range 10 to 80 degrees two-theta, low angle first:
h k l	2θ (°)	Rel. int.
2 0 0	28.81	100.0
2 2 0	41.20	76.5
2 2 2	51.05	27.4
4 0 0	59.68	12.8
4 2 0	67.60	35.3
4 2 2	75.10	26.2


2.
Simulated powder diffractogram of HoPuSbSe for Cu Kα, from a crystal structure in Alexandria, relaxed with PBE.
Lines closer than 0.1° are merged.

Cell and atoms:
Cell: 4.2689 4.2689 20.7602 Å, 90.00 90.00 120.00°
Space group R3m (No. 160, hexagonal axes)
Asymmetric unit:
Ho: 0.0000 0.0000 0.0000 [3 per cell]
Pu: 0.0000 0.0000 0.5093 [3 per cell]
Sb: 0.0000 0.0000 0.7527 [3 per cell]
Se: 0.0000 0.0000 0.2558 [3 per cell]

Principal peaks in the range 10 to 80 degrees two-theta, low angle first:
h k l	2θ (°)	Rel. int.
1 0 4	29.67	100.0
1 1 0	42.35	38.7
0 1 8	42.56	36.7
0 2 4	52.55	20.5
2 1 4	69.69	17.7
1 1 12	70.00	16.1


3.
Simulated powder diffractogram of HoPu2Sc6 for Cu Kα, from a crystal structure in Alexandria, relaxed with PBE.
Lines closer than 0.1° are merged.

Cell and atoms:
Cell: 12.3069 10.9349 8.4671 Å, 90.00 126.75 90.00°
Space group C2/c (No. 15)
Asymmetric unit:
Ho: 0.0000 0.1661 0.2500 [4 per cell]
Pu: 0.1821 0.4050 0.4291 [8 per cell]
Sc: 0.0446 0.3723 0.9686 [8 per cell]
Sc: 0.1051 0.0939 0.6915 [8 per cell]
Sc: 0.2322 0.1546 0.1432 [8 per cell]

Principal peaks in the range 10 to 80 degrees two-theta, low angle first:
h k l	2θ (°)	Rel. int.
1 1 -1	13.28	100.0
2 0 -2	21.12	47.1
1 3 -1	26.66	32.6
3 1 -3	32.98	56.6
1 1 2	33.70	58.9
4 2 -1	34.52	80.2


4.
Simulated powder diffractogram of HoPuSc3 for Cu Kα, from a crystal structure in Alexandria, relaxed with PBE.
Lines closer than 0.1° are merged.

Cell and atoms:
Cell: 5.4634 6.5068 15.0862 Å, 90.00 90.00 90.00°
Space group Imma (No. 74)
Asymmetric unit:
Ho: 0.0000 0.2500 0.0245 [4 per cell]
Pu: 0.0000 0.2500 0.8028 [4 per cell]
Sc: 0.0000 0.0133 0.5997 [8 per cell]
Sc: 0.2500 0.2500 0.2500 [4 per cell]

Principal peaks in the range 10 to 80 degrees two-theta, low angle first:
h k l	2θ (°)	Rel. int.
0 1 1	14.83	66.1
1 0 1	17.26	53.4
1 1 4	31.95	100.0
1 2 1	32.58	86.0
2 0 0	32.77	57.4
1 0 5	33.94	78.0


5.
Simulated powder diffractogram of HoPuSc6 for Cu Kα, from a crystal structure in Alexandria, relaxed with PBE.
Lines closer than 0.1° are merged.

Cell and atoms:
Cell: 10.6872 10.6872 6.1882 Å, 90.00 90.00 120.00°
Space group R-3m (No. 166, hexagonal axes)
Asymmetric unit:
Ho: 0.0000 0.0000 0.0000 [3 per cell]
Pu: 0.0000 0.0000 0.5000 [3 per cell]
Sc: 0.0089 0.5045 0.2507 [18 per cell]

Principal peaks in the range 10 to 80 degrees two-theta, low angle first:
h k l	2θ (°)	Rel. int.
1 1 0	16.59	100.0
3 0 0	28.94	27.3
0 1 2	30.46	61.6
2 2 0	33.54	89.1
1 2 2	38.86	64.0
3 1 2	45.94	39.4


6.
Simulated powder diffractogram of Ho2PuScSe4 for Cu Kα, from a crystal structure in Alexandria, relaxed with PBE.
Lines closer than 0.1° are merged.

Cell and atoms:
Cell: 6.9927 4.0182 6.9990 Å, 90.00 109.14 90.00°
Space group P2/m (No. 10)
Asymmetric unit:
Ho: 0.0000 0.0000 0.0000 [1 per cell]
Ho: 0.0000 0.5000 0.5000 [1 per cell]
Pu: 0.5000 0.0000 0.5000 [1 per cell]
Sc: 0.5000 0.5000 0.0000 [1 per cell]
Se: 0.2499 0.5000 0.2418 [2 per cell]
Se: 0.2561 0.0000 0.7604 [2 per cell]

Principal peaks in the range 10 to 80 degrees two-theta, low angle first:
h k l	2θ (°)	Rel. int.
1 1 1	31.35	100.0
2 0 2	44.69	12.4
3 1 -1	44.94	49.2
4 0 0	55.63	13.0
2 2 -2	56.00	12.8
4 2 0	74.35	16.5